# Zn2Os
Calculated X-ray powder pattern, Cu Kα (weighted mean of Kα1 and Kα2). Input: a crystal structure in OQMD, relaxed with GGA-PBE.
Lines closer than 0.1° are merged.

Largest 10 diffraction maxima, most intense first, 2θ from 10° to 90°:
| h k l | d (Å) | I_rel |
| --- | --- | --- |
| 3 1 1 | 2.088 | 100 |
| 0 2 1 | 2.047 | 63 |
| 0 0 2 | 2.167 | 42 |
| 3 1 0 | 2.383 | 37 |
| 1 1 1 | 2.962 | 30 |
| 2 0 0 | 4.164 | 29 |
| 3 1 2 | 1.603 | 22 |
| 3 3 2 | 1.147 | 20 |
| 1 1 0 | 4.057 | 19 |
| 6 2 1 | 1.149 | 19 |

Cell and atoms:
```
data_Zn2Os
_chemical_formula_sum 'Zn8 Os4'
_cell_length_a 8.329
_cell_length_b 4.646
_cell_length_c 4.334
_cell_angle_alpha 90.00
_cell_angle_beta 90.00
_cell_angle_gamma 90.00
_space_group_name_H-M_alt 'C m c m'
_space_group_IT_number 63
_space_group_name_Hall '-C 2c 2'
loop_
_atom_site_label
_atom_site_type_symbol
_atom_site_fract_x
_atom_site_fract_y
_atom_site_fract_z
_atom_site_occupancy
Zn1 Zn 0.166 0.154 0.250 1
Os1 Os 0.000 0.351 0.750 1
```